[1]
This entry pairs a crystal structure of Nd3NO with its calculated PXRD pattern. Radiation: Cu Ka. Structure: the PBE geometry in Alexandria.

Top 8 peaks for 2θ from 10° to 80°, in order of rising 2θ:
Position (°2θ)	Rel. int.
29.40	100
34.07	11
38.24	41
45.61	25
55.19	25
58.14	16
63.76	23
79.36	20

Atomic structure:
a = 7.443 Å, b = 7.443 Å, c = 7.443 Å
α = 90.00°, β = 90.00°, γ = 90.00°
Positions (direct):
Nd1 0.001 0.257 0.374
Nd2 0.126 0.999 0.757
Nd3 0.243 0.626 0.501
Nd4 0.257 0.374 0.001
Nd5 0.374 0.001 0.257
Nd6 0.499 0.743 0.874
Nd7 0.501 0.243 0.626
Nd8 0.626 0.501 0.243
Nd9 0.743 0.874 0.499
Nd10 0.757 0.126 0.999
Nd11 0.874 0.499 0.743
Nd12 0.999 0.757 0.126
N1 0.072 0.072 0.072
N2 0.428 0.928 0.572
N3 0.572 0.428 0.928
N4 0.928 0.572 0.428
O1 0.165 0.665 0.835
O2 0.335 0.335 0.335
O3 0.665 0.835 0.165
O4 0.835 0.165 0.665


[2]
This entry pairs a crystal structure of TbPr4Nd with its calculated PXRD pattern. Radiation: Cu Ka. Structure: the PBE geometry in Alexandria.

Top 8 peaks for 2θ from 10° to 80°, in order of rising 2θ:
Position (°2θ)	Rel. int.
29.68	100
34.38	34
34.45	17
49.44	36
58.70	29
58.79	14
61.62	13
72.58	4

Atomic structure:
a = 5.223 Å, b = 15.638 Å, c = 5.207 Å
α = 90.00°, β = 90.00°, γ = 90.00°
Positions (direct):
Tb1 0.000 0.000 0.000
Tb2 0.500 0.500 0.000
Pr1 0.000 0.165 0.500
Pr2 0.000 0.334 0.000
Pr3 0.000 0.666 0.000
Pr4 0.000 0.835 0.500
Pr5 0.500 0.166 0.000
Pr6 0.500 0.335 0.500
Pr7 0.500 0.665 0.500
Pr8 0.500 0.834 0.000
Nd1 0.000 0.500 0.500
Nd2 0.500 0.000 0.500